This entry pairs a crystal structure of Ba2SrAg3 with its calculated powder X-ray diffraction pattern. Radiation: Cu Kα (weighted mean of Kα1 and Kα2). Structure: a DFT-relaxed cell (PBE, Alexandria).

Main lines, most intense first (2θ from 10° to 80°):
| index | 2θ/deg | d/Å | intensity |
| --- | --- | --- | --- |
| 1 0 3 | 31.25 | 2.863 | 100 |
| 1 1 0 | 30.93 | 2.891 | 54 |
| 2 1 3 | 55.21 | 1.664 | 38 |
| 2 0 0 | 44.31 | 2.044 | 20 |
| 1 1 6 | 55.80 | 1.647 | 16 |
| 2 0 6 | 65.18 | 1.431 | 10 |
| 3 1 0 | 73.21 | 1.293 | 9 |
| 3 0 3 | 73.37 | 1.290 | 8 |
| 0 0 6 | 45.23 | 2.005 | 8 |
| 2 2 0 | 64.46 | 1.446 | 6 |
| 1 0 9 | 74.73 | 1.270 | 5 |
| 1 0 2 | 26.36 | 3.381 | 4 |

Crystal structure
Lattice parameters (Å, degrees): 4.089 4.089 12.028 90.00 90.00 90.00
Space group P4/mmm (No. 123)
One atom of each set of equivalent atoms:
Ba 0.000 0.000 0.171 [2 per cell]
Sr 0.000 0.000 0.500 [1 per cell]
Ag 0.500 0.500 0.000 [1 per cell]
Ag 0.500 0.500 0.353 [2 per cell]


This entry pairs a crystal structure of Tl4Hg10Sb with its calculated powder X-ray diffraction pattern. Radiation: Cu Kα (weighted mean of Kα1 and Kα2). Structure: a DFT-relaxed cell (PBE, Alexandria).

Main lines, most intense first (2θ from 10° to 80°):
| index | 2θ/deg | d/Å | intensity |
| --- | --- | --- | --- |
| 0 1 -6 | 32.70 | 2.739 | 100 |
| 1 -2 1 | 31.83 | 2.811 | 94 |
| 0 2 3 | 32.43 | 2.761 | 93 |
| 1 1 -2 | 31.22 | 2.865 | 91 |
| 0 3 -3 | 37.06 | 2.426 | 64 |
| 1 0 4 | 36.51 | 2.461 | 61 |
| -1 1 5 | 37.94 | 2.372 | 58 |
| -2 3 4 | 64.21 | 1.451 | 35 |
| -2 1 1 | 52.30 | 1.749 | 28 |
| 2 0 -7 | 63.69 | 1.461 | 26 |
| 1 -3 7 | 53.59 | 1.710 | 19 |
| 1 3 1 | 52.43 | 1.745 | 19 |

Crystal structure
Lattice parameters (Å, degrees): 3.502 7.638 16.687 101.30 94.60 101.64
Space group P-1 (No. 2)
One atom of each set of equivalent atoms:
Tl 0.140 0.115 0.103 [2 per cell]
Tl 0.355 0.342 0.321 [2 per cell]
Hg 0.057 0.734 0.359 [2 per cell]
Hg 0.150 0.483 0.832 [2 per cell]
Hg 0.244 0.918 0.565 [2 per cell]
Hg 0.357 0.694 0.036 [2 per cell]
Hg 0.396 0.077 0.766 [2 per cell]
Sb 0.000 0.500 0.500 [1 per cell]


This entry pairs a crystal structure of YCdAg6 with its calculated powder X-ray diffraction pattern. Radiation: Cu Kα (weighted mean of Kα1 and Kα2). Structure: a DFT-relaxed cell (PBE, Alexandria).

Main lines, most intense first (2θ from 10° to 80°):
| index | 2θ/deg | d/Å | intensity |
| --- | --- | --- | --- |
| 2 0 1 | 37.08 | 2.425 | 100 |
| 2 1 1 | 40.77 | 2.213 | 69 |
| 3 2 1 | 64.29 | 1.449 | 34 |
| 2 0 0 | 33.05 | 2.711 | 31 |
| 3 2 0 | 61.69 | 1.504 | 21 |
| 4 0 0 | 69.33 | 1.355 | 14 |
| 4 2 0 | 78.98 | 1.212 | 9 |
| 2 2 2 | 59.02 | 1.565 | 9 |
| 1 0 0 | 16.35 | 5.421 | 1 |

Crystal structure
Lattice parameters (Å, degrees): 5.421 5.421 5.421 90.00 90.00 90.00
Space group Pm-3 (No. 200)
One atom of each set of equivalent atoms:
Y 0.000 0.000 0.000 [1 per cell]
Cd 0.500 0.500 0.500 [1 per cell]
Ag 0.000 0.252 0.500 [6 per cell]


This entry pairs a crystal structure of ScGaRh with its calculated powder X-ray diffraction pattern. Radiation: Cu Kα (weighted mean of Kα1 and Kα2). Structure: a DFT-relaxed cell (PBE, Alexandria).

Main lines, most intense first (2θ from 10° to 80°):
| index | 2θ/deg | d/Å | intensity |
| --- | --- | --- | --- |
| 1 2 1 | 39.19 | 2.299 | 100 |
| 0 2 2 | 41.69 | 2.166 | 76 |
| 1 0 1 | 21.30 | 4.171 | 75 |
| 2 0 2 | 43.38 | 2.086 | 62 |
| 2 1 1 | 40.52 | 2.226 | 56 |
| 1 0 3 | 42.42 | 2.131 | 43 |
| 2 2 4 | 73.74 | 1.285 | 39 |
| 2 2 0 | 48.17 | 1.889 | 28 |
| 0 1 3 | 41.99 | 2.152 | 22 |
| 0 1 1 | 20.50 | 4.333 | 22 |
| 3 2 1 | 65.04 | 1.434 | 21 |
| 1 1 2 | 34.91 | 2.570 | 15 |

Crystal structure
Lattice parameters (Å, degrees): 5.190 5.510 7.012 90.00 90.00 90.00
Space group Imma (No. 74)
One atom of each set of equivalent atoms:
Sc 0.000 0.250 0.132 [4 per cell]
Ga 0.250 0.250 0.750 [4 per cell]
Rh 0.000 0.000 0.500 [4 per cell]


This entry pairs a crystal structure of La5TlCd2 with its calculated powder X-ray diffraction pattern. Radiation: Cu Kα (weighted mean of Kα1 and Kα2). Structure: a DFT-relaxed cell (PBE, Alexandria).

Main lines, most intense first (2θ from 10° to 80°):
| index | 2θ/deg | d/Å | intensity |
| --- | --- | --- | --- |
| 2 0 2 | 31.95 | 2.801 | 100 |
| 2 2 0 | 31.33 | 2.855 | 53 |
| 4 2 2 | 56.16 | 1.638 | 40 |
| 4 0 0 | 44.90 | 2.019 | 19 |
| 2 2 4 | 57.32 | 1.607 | 19 |
| 4 0 4 | 66.79 | 1.401 | 12 |
| 6 2 0 | 74.28 | 1.277 | 9 |
| 0 0 4 | 46.70 | 1.945 | 9 |
| 6 0 2 | 74.62 | 1.272 | 9 |
| 2 0 6 | 77.29 | 1.235 | 8 |
| 4 4 0 | 65.37 | 1.428 | 6 |
| 1 1 0 | 15.52 | 5.710 | 2 |

Crystal structure
Lattice parameters (Å, degrees): 8.075 8.075 7.780 90.00 90.00 90.00
Space group I4mm (No. 107)
One atom of each set of equivalent atoms:
La 0.000 0.000 0.000 [2 per cell]
La 0.250 0.250 0.249 [8 per cell]
Tl 0.000 0.000 0.499 [2 per cell]
Cd 0.000 0.500 0.000 [4 per cell]


This entry pairs a crystal structure of In2HgF with its calculated powder X-ray diffraction pattern. Radiation: Cu Kα (weighted mean of Kα1 and Kα2). Structure: a DFT-relaxed cell (PBE, Alexandria).

Main lines, most intense first (2θ from 10° to 80°):
| index | 2θ/deg | d/Å | intensity |
| --- | --- | --- | --- |
| 0 0 3 | 12.14 | 7.290 | 100 |
| 0 1 5 | 30.81 | 2.902 | 95 |
| 0 1 2 | 24.35 | 3.656 | 86 |
| 1 1 0 | 40.30 | 2.238 | 78 |
| 1 0 10 | 47.74 | 1.905 | 34 |
| 1 1 3 | 42.22 | 2.141 | 31 |
| 0 2 10 | 64.14 | 1.452 | 25 |
| 2 0 5 | 51.55 | 1.773 | 23 |
| 1 0 7 | 36.94 | 2.433 | 22 |
| 1 2 5 | 67.37 | 1.390 | 20 |
| 3 0 0 | 73.23 | 1.292 | 17 |
| 1 1 15 | 78.25 | 1.222 | 16 |

Crystal structure
Lattice parameters (Å, degrees): 4.4787 4.4787 21.8707 90.00 90.00 120.00
Space group R-3m (No. 166, hexagonal axes)
One atom of each set of equivalent atoms:
In 0.0000 0.0000 0.1002 [6 per cell]
Hg 0.0000 0.0000 0.5000 [3 per cell]
F 0.0000 0.0000 0.0000 [3 per cell]